1.
# Ac2GaCu
Simulated powder diffractogram, Cu Ka. Input: a GGA-PBE-relaxed structure.
Peak positions follow from Bragg's law for the DFT cell and can differ from measured ones.

Main lines, low angle first (2θ from 5° to 70°):
d/Å, two_theta, Rel. int.
3.831, 23.22, 31
2.709, 33.06, 100
2.212, 40.79, 10
1.916, 47.46, 18
1.713, 53.48, 14
1.564, 59.06, 38
1.355, 69.38, 12

Atomic structure:
Lattice parameters (Å, degrees): 5.4185 5.4185 5.4185 60.00 60.00 60.00
Atoms (fractional coordinates):
Ac: 0.2500 0.2500 0.2500
Ac: 0.7500 0.7500 0.7500
Ga: 0.0000 0.0000 0.0000
Cu: 0.5000 0.5000 0.5000

=====

2.
# DyCoSi2Rh
Simulated powder diffractogram, Cu Ka. Input: a GGA-PBE-relaxed structure.
Peak positions follow from Bragg's law for the DFT cell and can differ from measured ones.

Main lines, low angle first (2θ from 5° to 70°):
d/Å, two_theta, Rel. int.
3.693, 24.10, 43
2.815, 31.79, 2
2.540, 35.33, 43
2.474, 36.31, 18
2.447, 36.73, 100
1.990, 45.57, 37
1.772, 51.56, 15
1.752, 52.20, 11
1.567, 58.95, 19
1.551, 59.61, 16
1.423, 65.60, 17
1.407, 66.42, 12

Atomic structure:
Lattice parameters (Å, degrees): 5.6933 5.6933 5.6933 139.07 139.07 59.26
Atoms (fractional coordinates):
Dy: 0.0000 0.0000 0.0000
Co: 0.2500 0.7500 0.5000
Si: 0.3762 0.3762 0.0000
Si: 0.6238 0.6238 0.0000
Rh: 0.7500 0.2500 0.5000

=====

3.
# Be17Nb2
Simulated powder diffractogram, Cu Ka. Input: a GGA-PBE-relaxed structure.
Peak positions follow from Bragg's law for the DFT cell and can differ from measured ones.

Main lines, low angle first (2θ from 5° to 70°):
d/Å, two_theta, Rel. int.
5.491, 16.14, 70
4.108, 21.63, 23
3.690, 24.12, 100
3.574, 24.91, 31
3.063, 29.16, 22
2.568, 34.95, 96
2.472, 36.34, 20
2.357, 38.19, 21
2.131, 42.43, 36
1.845, 49.39, 29
1.830, 49.82, 52
1.795, 50.88, 18

Atomic structure:
Lattice parameters (Å, degrees): 5.5619 5.5619 5.5619 83.13 83.13 83.13
Atoms (fractional coordinates):
Be: 0.0000 0.0000 0.5000
Be: 0.0000 0.2937 0.7063
Be: 0.0000 0.5000 0.0000
Be: 0.0000 0.7063 0.2937
Be: 0.0989 0.0989 0.0989
Be: 0.1605 0.6533 0.6533
Be: 0.2937 0.0000 0.7063
Be: 0.2937 0.7063 0.0000
Be: 0.3467 0.3467 0.8395
Be: 0.3467 0.8395 0.3467
Be: 0.5000 0.0000 0.0000
Be: 0.6533 0.1605 0.6533
Be: 0.6533 0.6533 0.1605
Be: 0.7063 0.0000 0.2937
Be: 0.7063 0.2937 0.0000
Be: 0.8395 0.3467 0.3467
Be: 0.9011 0.9011 0.9011
Nb: 0.3411 0.3411 0.3411
Nb: 0.6589 0.6589 0.6589

=====

4.
# SrGdCuSe3
Simulated powder diffractogram, Cu Ka. Input: a GGA-PBE-relaxed structure.
Peak positions follow from Bragg's law for the DFT cell and can differ from measured ones.

Main lines, low angle first (2θ from 5° to 70°):
d/Å, two_theta, Rel. int.
6.804, 13.01, 47
4.225, 21.03, 19
3.177, 28.08, 27
3.058, 29.20, 39
2.942, 30.38, 66
2.695, 33.24, 29
2.660, 33.69, 100
2.112, 42.81, 16
2.095, 43.17, 38
2.090, 43.28, 25
2.070, 43.72, 34
1.471, 63.21, 16

Atomic structure:
Lattice parameters (Å, degrees): 10.7798 4.1405 13.6080 90.00 90.00 90.00
Atoms (fractional coordinates):
Sr: 0.2308 0.2500 0.9995
Sr: 0.2692 0.7500 0.4995
Sr: 0.7308 0.2500 0.5005
Sr: 0.7692 0.7500 0.0005
Gd: 0.0126 0.7500 0.2560
Gd: 0.4874 0.2500 0.7560
Gd: 0.5126 0.7500 0.2440
Gd: 0.9874 0.2500 0.7440
Cu: 0.2400 0.7500 0.7784
Cu: 0.2600 0.2500 0.2784
Cu: 0.7400 0.7500 0.7216
Cu: 0.7600 0.2500 0.2216
Se: 0.0540 0.7500 0.8863
Se: 0.0836 0.2500 0.3939
Se: 0.2402 0.2500 0.6710
Se: 0.2598 0.7500 0.1710
Se: 0.4164 0.7500 0.8939
Se: 0.4460 0.2500 0.3863
Se: 0.5540 0.7500 0.6137
Se: 0.5836 0.2500 0.1061
Se: 0.7402 0.2500 0.8290
Se: 0.7598 0.7500 0.3290
Se: 0.9164 0.7500 0.6061
Se: 0.9460 0.2500 0.1137